For Zr6CI14, a PBE-relaxed structure gives the simulated powder XRD pattern in this record (copper Kα).

Crystal structure
a = 11.019 Å, b = 11.019 Å, c = 13.142 Å
α = 90.00°, β = 90.00°, γ = 87.05°
Element x y z (fractional)
Zr 0.046 0.165 0.891
Zr 0.127 0.873 0.908
Zr 0.165 0.046 0.109
Zr 0.335 0.454 0.609
Zr 0.373 0.627 0.408
Zr 0.454 0.335 0.391
Zr 0.546 0.665 0.609
Zr 0.627 0.373 0.592
Zr 0.665 0.546 0.391
Zr 0.835 0.954 0.891
Zr 0.873 0.127 0.092
Zr 0.954 0.835 0.109
C 0.000 0.000 0.000
C 0.500 0.500 0.500
I 0.034 0.213 0.245
I 0.106 0.645 0.011
I 0.107 0.393 0.750
I 0.144 0.856 0.262
I 0.145 0.606 0.511
I 0.213 0.034 0.755
I 0.249 0.249 0.500
I 0.251 0.251 0.000
I 0.287 0.466 0.255
I 0.355 0.894 0.011
I 0.356 0.644 0.762
I 0.393 0.107 0.250
I 0.394 0.855 0.511
I 0.466 0.287 0.745
I 0.534 0.713 0.255
I 0.606 0.145 0.489
I 0.607 0.893 0.750
I 0.644 0.356 0.238
I 0.645 0.106 0.989
I 0.713 0.534 0.745
I 0.749 0.749 0.000
I 0.751 0.751 0.500
I 0.787 0.966 0.245
I 0.855 0.394 0.489
I 0.856 0.144 0.738
I 0.893 0.607 0.250
I 0.894 0.355 0.989
I 0.966 0.787 0.755

Largest 10 diffraction maxima, low angle first, 10 to 90 degrees two-theta:
10.49°, I 94
26.10°, I 40
27.14°, I 100
28.68°, I 66
32.55°, I 89
42.29°, I 34
42.87°, I 28
45.42°, I 24
47.95°, I 21
53.70°, I 31